Computed X-ray powder pattern of CoI2 for Cu Ka, from a cell relaxed with GGA-PBE.
Neutral-atom scattering factors, no anomalous dispersion.

Atomic structure:
Lattice parameters (Å, degrees): 3.8623 3.8623 27.5961 90.00 90.00 120.00
Fractional positions:
Co: 0.0000 0.0000 0.0000
Co: 0.0000 0.0000 0.2489
Co: 0.3333 0.6667 0.4989
Co: 0.3333 0.6667 0.7488
I: 0.0000 0.0000 0.4464
I: 0.0000 0.0000 0.6964
I: 0.3333 0.6667 0.1965
I: 0.3333 0.6667 0.9476
I: 0.6667 0.3333 0.0526
I: 0.6667 0.3333 0.3015
I: 0.6667 0.3333 0.5513
I: 0.6667 0.3333 0.8014

Principal peaks in the range 2θ from 5° to 70°, in order of falling intensity:
29.68 deg, I 100; 12.83 deg, I 58; 47.06 deg, I 40; 37.45 deg, I 25; 35.19 deg, I 21; 31.27 deg, I 21



Computed X-ray powder pattern of TlZn2 for Cu Ka, from a cell relaxed with GGA-PBE.
Neutral-atom scattering factors, no anomalous dispersion.

Atomic structure:
Lattice parameters (Å, degrees): 5.1080 10.3221 4.7685 90.00 90.00 90.00
Fractional positions:
Tl: 0.2500 0.0760 0.1416
Tl: 0.2500 0.4240 0.1416
Tl: 0.7500 0.5760 0.8584
Tl: 0.7500 0.9240 0.8584
Zn: 0.2500 0.2500 0.6515
Zn: 0.2500 0.6263 0.5635
Zn: 0.2500 0.7500 0.0661
Zn: 0.2500 0.8737 0.5635
Zn: 0.7500 0.1263 0.4365
Zn: 0.7500 0.2500 0.9339
Zn: 0.7500 0.3737 0.4365
Zn: 0.7500 0.7500 0.3485

Principal peaks in the range 2θ from 5° to 70°, in order of falling intensity:
36.70 deg, I 100; 32.08 deg, I 67; 41.81 deg, I 67; 35.14 deg, I 66; 48.31 deg, I 43; 30.96 deg, I 34



Computed X-ray powder pattern of Th2Fe17N3 for Cu Ka, from a cell relaxed with GGA-PBE.
Neutral-atom scattering factors, no anomalous dispersion.

Atomic structure:
Lattice parameters (Å, degrees): 6.5469 6.5469 6.5469 83.43 83.43 83.43
Fractional positions:
Th: 0.1575 0.1575 0.1575
Th: 0.8425 0.8425 0.8425
Fe: 0.0000 0.5000 0.5000
Fe: 0.1590 0.1590 0.6437
Fe: 0.1590 0.6437 0.1590
Fe: 0.2203 0.5000 0.7797
Fe: 0.2203 0.7797 0.5000
Fe: 0.3563 0.8410 0.8410
Fe: 0.4062 0.4062 0.4062
Fe: 0.5000 0.0000 0.5000
Fe: 0.5000 0.2203 0.7797
Fe: 0.5000 0.5000 0.0000
Fe: 0.5000 0.7797 0.2203
Fe: 0.5938 0.5938 0.5938
Fe: 0.6437 0.1590 0.1590
Fe: 0.7797 0.2203 0.5000
Fe: 0.7797 0.5000 0.2203
Fe: 0.8410 0.3563 0.8410
Fe: 0.8410 0.8410 0.3563
N: 0.0000 0.0000 0.5000
N: 0.0000 0.5000 0.0000
N: 0.5000 0.0000 0.0000

Principal peaks in the range 2θ from 5° to 70°, in order of falling intensity:
41.89 deg, I 100; 41.46 deg, I 76; 29.58 deg, I 67; 35.70 deg, I 44; 43.20 deg, I 44; 60.41 deg, I 30



Computed X-ray powder pattern of CsHf3N5 for Cu Ka, from a cell relaxed with GGA-PBE.
Neutral-atom scattering factors, no anomalous dispersion.

Atomic structure:
Lattice parameters (Å, degrees): 5.6165 5.6165 6.5831 90.00 90.00 120.00
Fractional positions:
Cs: 0.0000 0.0000 0.0000
Hf: 0.0000 0.5000 0.5000
Hf: 0.5000 0.0000 0.5000
Hf: 0.5000 0.5000 0.5000
N: 0.0000 0.0000 0.5000
N: 0.3333 0.6667 0.2962
N: 0.3333 0.6667 0.7038
N: 0.6667 0.3333 0.2962
N: 0.6667 0.3333 0.7038

Principal peaks in the range 2θ from 5° to 70°, in order of falling intensity:
13.45 deg, I 100; 22.73 deg, I 88; 46.42 deg, I 71; 36.96 deg, I 59; 27.09 deg, I 41; 39.50 deg, I 39



Computed X-ray powder pattern of Zr3Cu4Ge6 for Cu Ka, from a cell relaxed with GGA-PBE.
Neutral-atom scattering factors, no anomalous dispersion.

Atomic structure:
Lattice parameters (Å, degrees): 14.8054 14.8054 14.8054 165.15 165.15 21.06
Fractional positions:
Zr: 0.0000 0.0000 0.0000
Zr: 0.3254 0.3254 0.0000
Zr: 0.6746 0.6746 0.0000
Cu: 0.0912 0.5912 0.5000
Cu: 0.4088 0.9088 0.5000
Cu: 0.5912 0.0912 0.5000
Cu: 0.9088 0.4088 0.5000
Ge: 0.1473 0.1473 0.0000
Ge: 0.2500 0.7500 0.5000
Ge: 0.4583 0.4583 0.0000
Ge: 0.5417 0.5417 0.0000
Ge: 0.7500 0.2500 0.5000
Ge: 0.8527 0.8527 0.0000

Principal peaks in the range 2θ from 5° to 70°, in order of falling intensity:
38.08 deg, I 100; 47.52 deg, I 42; 36.37 deg, I 16; 31.78 deg, I 16; 47.01 deg, I 13; 69.47 deg, I 13



Computed X-ray powder pattern of Cu5Ag4 for Cu Ka, from a cell relaxed with GGA-PBE.
Neutral-atom scattering factors, no anomalous dispersion.

Atomic structure:
Lattice parameters (Å, degrees): 12.8488 12.8488 12.8488 167.48 163.42 20.83
Fractional positions:
Cu: 0.0000 0.0000 0.0000
Cu: 0.1128 0.1128 0.0000
Cu: 0.2255 0.2255 0.0000
Cu: 0.7745 0.7745 0.0000
Cu: 0.8872 0.8872 0.0000
Ag: 0.3309 0.3309 0.0000
Ag: 0.4438 0.4438 0.0000
Ag: 0.5562 0.5562 0.0000
Ag: 0.6691 0.6691 0.0000

Principal peaks in the range 2θ from 5° to 70°, in order of falling intensity:
40.33 deg, I 100; 45.74 deg, I 34; 69.42 deg, I 18; 49.19 deg, I 14; 66.76 deg, I 5; 66.60 deg, I 5



Computed X-ray powder pattern of CsTaI2Br2Cl2 for Cu Ka, from a cell relaxed with GGA-PBE.
Neutral-atom scattering factors, no anomalous dispersion.

Atomic structure:
Lattice parameters (Å, degrees): 10.1829 10.1829 7.2611 94.95 94.95 98.17
Fractional positions:
Cs: 0.1747 0.8253 0.0000
Cs: 0.8253 0.1747 0.0000
Ta: 0.0000 0.5000 0.5000
Ta: 0.5000 0.0000 0.5000
I: 0.1373 0.4429 0.1952
I: 0.4429 0.1373 0.1952
I: 0.5571 0.8627 0.8048
I: 0.8627 0.5571 0.8048
Br: 0.0083 0.2651 0.5862
Br: 0.2651 0.0083 0.5862
Br: 0.7349 0.9917 0.4138
Br: 0.9917 0.7349 0.4138
Cl: 0.2072 0.5709 0.6780
Cl: 0.4291 0.7928 0.3220
Cl: 0.5709 0.2072 0.6780
Cl: 0.7928 0.4291 0.3220

Principal peaks in the range 2θ from 5° to 70°, in order of falling intensity:
11.50 deg, I 100; 13.39 deg, I 35; 30.36 deg, I 34; 30.59 deg, I 34; 19.39 deg, I 28; 36.76 deg, I 25



Computed X-ray powder pattern of Tm5Cu2Te for Cu Ka, from a cell relaxed with GGA-PBE.
Neutral-atom scattering factors, no anomalous dispersion.

Atomic structure:
Lattice parameters (Å, degrees): 8.3720 8.3720 8.3720 124.20 124.20 82.87
Fractional positions:
Tm: 0.0000 0.0000 0.0000
Tm: 0.0133 0.5133 0.8053
Tm: 0.2080 0.0133 0.5000
Tm: 0.2920 0.7920 0.8053
Tm: 0.4867 0.2920 0.5000
Tm: 0.5000 0.5000 0.0000
Tm: 0.5133 0.7080 0.5000
Tm: 0.7080 0.2080 0.1947
Tm: 0.7920 0.9867 0.5000
Tm: 0.9867 0.4867 0.1947
Cu: 0.1344 0.3656 0.5000
Cu: 0.3656 0.8656 0.2311
Cu: 0.6344 0.1344 0.7689
Cu: 0.8656 0.6344 0.5000
Te: 0.2500 0.2500 0.0000
Te: 0.7500 0.7500 0.0000

Principal peaks in the range 2θ from 5° to 70°, in order of falling intensity:
33.35 deg, I 100; 36.25 deg, I 71; 32.80 deg, I 33; 26.41 deg, I 31; 36.69 deg, I 30; 57.94 deg, I 21



Computed X-ray powder pattern of Nd3Tm2Pb3 for Cu Ka, from a cell relaxed with GGA-PBE.
Neutral-atom scattering factors, no anomalous dispersion.

Atomic structure:
Lattice parameters (Å, degrees): 9.2196 9.2196 6.6944 90.00 90.00 120.00
Fractional positions:
Nd: 0.0000 0.2405 0.2500
Nd: 0.0000 0.7595 0.7500
Nd: 0.2405 0.0000 0.2500
Nd: 0.2405 0.2405 0.7500
Nd: 0.7595 0.0000 0.7500
Nd: 0.7595 0.7595 0.2500
Tm: 0.3333 0.6667 0.0000
Tm: 0.3333 0.6667 0.5000
Tm: 0.6667 0.3333 0.0000
Tm: 0.6667 0.3333 0.5000
Pb: 0.0000 0.3984 0.7500
Pb: 0.0000 0.6016 0.2500
Pb: 0.3984 0.0000 0.7500
Pb: 0.3984 0.3984 0.2500
Pb: 0.6016 0.0000 0.2500
Pb: 0.6016 0.6016 0.7500

Principal peaks in the range 2θ from 5° to 70°, in order of falling intensity:
32.55 deg, I 100; 33.07 deg, I 79; 33.68 deg, I 42; 50.89 deg, I 29; 29.60 deg, I 26; 64.67 deg, I 22



Computed X-ray powder pattern of MgCdSe2 for Cu Ka, from a cell relaxed with GGA-PBE.
Neutral-atom scattering factors, no anomalous dispersion.

Atomic structure:
Lattice parameters (Å, degrees): 4.3091 4.3091 7.0111 90.00 90.00 120.00
Fractional positions:
Mg: 0.0000 0.0000 0.0000
Cd: 0.6667 0.3333 0.5067
Se: 0.0000 0.0000 0.3701
Se: 0.6667 0.3333 0.8893

Principal peaks in the range 2θ from 5° to 70°, in order of falling intensity:
23.84 deg, I 100; 41.93 deg, I 69; 45.81 deg, I 69; 27.07 deg, I 61; 35.12 deg, I 51; 25.41 deg, I 45



Computed X-ray powder pattern of RbPm2Cu3TeS4 for Cu Ka, from a cell relaxed with GGA-PBE.
Neutral-atom scattering factors, no anomalous dispersion.

Atomic structure:
Lattice parameters (Å, degrees): 7.3335 7.3335 17.6479 90.00 90.00 147.42
Fractional positions:
Rb: 0.0443 0.9557 0.7500
Rb: 0.9557 0.0443 0.2500
Pm: 0.1874 0.8126 0.0851
Pm: 0.1874 0.8126 0.4149
Pm: 0.8126 0.1874 0.5851
Pm: 0.8126 0.1874 0.9149
Cu: 0.3462 0.6538 0.7500
Cu: 0.4159 0.5841 0.0392
Cu: 0.4159 0.5841 0.4608
Cu: 0.5841 0.4159 0.5392
Cu: 0.5841 0.4159 0.9608
Cu: 0.6538 0.3462 0.2500
Te: 0.2548 0.7452 0.2500
Te: 0.7452 0.2548 0.7500
S: 0.1640 0.8360 0.5687
S: 0.1640 0.8360 0.9313
S: 0.4411 0.5589 0.6092
S: 0.4411 0.5589 0.8908
S: 0.5589 0.4411 0.1092
S: 0.5589 0.4411 0.3908
S: 0.8360 0.1640 0.0687
S: 0.8360 0.1640 0.4313

Principal peaks in the range 2θ from 5° to 70°, in order of falling intensity:
30.39 deg, I 100; 30.62 deg, I 90; 29.31 deg, I 72; 27.22 deg, I 71; 12.58 deg, I 69; 35.44 deg, I 63



Computed X-ray powder pattern of Pr4Cu3Ge for Cu Ka, from a cell relaxed with GGA-PBE.
Neutral-atom scattering factors, no anomalous dispersion.

Atomic structure:
Lattice parameters (Å, degrees): 5.9343 4.4015 7.5674 90.00 90.29 90.00
Fractional positions:
Pr: 0.0000 0.0000 0.0000
Pr: 0.2301 0.0000 0.5055
Pr: 0.5004 0.5000 0.1580
Pr: 0.7329 0.5000 0.6459
Cu: 0.2467 0.5000 0.7937
Cu: 0.7538 0.0000 0.3612
Cu: 0.9892 0.5000 0.2945
Ge: 0.5004 0.0000 0.8690

Principal peaks in the range 2θ from 5° to 70°, in order of falling intensity:
31.17 deg, I 100; 38.48 deg, I 95; 27.86 deg, I 80; 41.01 deg, I 51; 32.47 deg, I 45; 34.78 deg, I 42